Structure and simulated X-ray powder pattern of Gd2CuTe (DFT lattice parameters and positions (PBE); Cu Kα (λ = 1.5418 Å)).
Neutral-atom scattering factors, no anomalous dispersion.

Atomic structure:
a b c (Å): 5.1220 5.1220 3.7932
angles (deg): 90.00 90.00 90.00
Atoms (fractional coordinates):
Gd1 0.0000 0.5000 0.0000
Gd2 0.5000 0.0000 0.0000
Cu1 0.0000 0.0000 0.5000
Te1 0.5000 0.5000 0.5000

Peak list (8 most intense, 15 to 90 degrees two-theta, in order of falling intensity)
34.23°, I = 100, (1 1 1)
35.04°, I = 47, (2 0 0)
62.33°, I = 35, (3 1 1)
60.77°, I = 19, (2 0 2)
50.39°, I = 17, (2 2 0)
72.12°, I = 11, (2 2 2)
47.97°, I = 10, (0 0 2)
80.45°, I = 8, (1 1 3)